# NbCr3Ag2S8
Theoretical X-ray diffraction stick pattern, a wavelength of 1.5418 Å. Input: a crystal structure in the Materials Project, relaxed with PBE.

abc: 3.4741 11.8827 12.2394
angles: 90.00 90.00 90.00
Atoms (fractional coordinates):
1 Nb 0.0000 0.1024 0.0000
2 Nb 0.5000 0.8976 0.5000
3 Cr 0.0000 0.1496 0.3568
4 Cr 0.0000 0.5960 0.0727
5 Cr 0.0000 0.6401 0.7036
6 Cr 0.5000 0.3599 0.2036
7 Cr 0.5000 0.4040 0.5727
8 Cr 0.5000 0.8504 0.8568
9 Ag 0.0000 0.3941 0.8672
10 Ag 0.0000 0.8784 0.1922
11 Ag 0.5000 0.1216 0.6922
12 Ag 0.5000 0.6059 0.3672
13 S 0.0000 0.0481 0.5284
14 S 0.0000 0.2187 0.1655
15 S 0.0000 0.3009 0.6588
16 S 0.0000 0.4876 0.2374
17 S 0.0000 0.5408 0.5296
18 S 0.0000 0.7139 0.8950
19 S 0.0000 0.7964 0.3995
20 S 0.0000 0.9839 0.8162
21 S 0.5000 0.0161 0.3162
22 S 0.5000 0.2036 0.8995
23 S 0.5000 0.2861 0.3950
24 S 0.5000 0.4592 0.0296
25 S 0.5000 0.5124 0.7374
26 S 0.5000 0.6991 0.1588
27 S 0.5000 0.7813 0.6655
28 S 0.5000 0.9519 0.0284

Top 10 peaks for 2θ from 5° to 70°, sorted by position:
d 3.768, I = 24, hkl 0 3 1
d 3.363, I = 100, hkl 0 2 3
d 3.217, I = 28, hkl 1 1 1
d 2.969, I = 28, hkl 0 4 0
d 2.693, I = 40, hkl 1 2 2
d 2.554, I = 71, hkl 1 3 1
d 2.402, I = 79, hkl 1 3 2
d 1.973, I = 44, hkl 1 1 5
d 1.782, I = 27, hkl 0 6 3
d 1.738, I = 37, hkl 2 0 0